This entry pairs a crystal structure of Pr2Dy4HoMg with its calculated powder diffractogram. Radiation: Cu Kα, 1.54184 Å. Structure: a PBE-relaxed structure.
Peak positions follow from Bragg's law for the DFT cell and can differ from measured ones.

Main lines, by angle (15 to 90 degrees two-theta):
d = 2.900 Å, 2θ = 30.8°, intensity 100
d = 2.543 Å, 2θ = 35.3°, intensity 17
d = 2.495 Å, 2θ = 36.0°, intensity 33
d = 1.781 Å, 2θ = 51.3°, intensity 24
d = 1.528 Å, 2θ = 60.6°, intensity 15
d = 1.509 Å, 2θ = 61.5°, intensity 14
d = 1.506 Å, 2θ = 61.6°, intensity 14
d = 1.450 Å, 2θ = 64.2°, intensity 12

Structure:
```
data_Pr2Dy4HoMg
_chemical_formula_sum 'Pr2 Dy4 Ho1 Mg1'
_symmetry_space_group_name_H-M 'P m m m'
_symmetry_Int_Tables_number 47
_cell_length_a 4.985
_cell_length_b 4.997
_cell_length_c 10.173
_cell_angle_alpha 90.00
_cell_angle_beta 90.00
_cell_angle_gamma 90.00
loop_
_symmetry_equiv_pos_as_xyz
'x,y,z'
'-x,-y,-z'
'-x,-y,z'
'x,y,-z'
'x,-y,-z'
'-x,y,z'
'-x,y,-z'
'x,-y,z'
loop_
_atom_site_label
_atom_site_type_symbol
_atom_site_fract_x
_atom_site_fract_y
_atom_site_fract_z
_atom_site_occupancy
Pr1 Pr 0.000 0.000 0.000 1
Pr2 Pr 0.500 0.500 0.500 1
Dy1 Dy 0.000 0.500 0.250 1
Dy2 Dy 0.500 0.000 0.250 1
Ho1 Ho 0.000 0.000 0.500 1
Mg1 Mg 0.500 0.500 0.000 1
```